Structure and computed powder diffractogram of Cu4Ag5 (a structure optimized by DFT (GGA-PBE); Cu Kα, 1.54184 Å).

Principal peaks in the range 10° ≤ 2θ ≤ 90°, in order of falling intensity:
2θ (°)  I/Imax
39.76  100
45.25  37
79.82  23
68.23  15
65.92  11
48.17  11

```
Cu4Ag5
1.0
-1.4170 1.4170 17.0012
1.4170 -1.4170 17.0012
1.4170 1.4170 -17.0012
Cu Ag
4 5
Direct
0.0000 0.0000 0.0000
0.1099 0.1099 0.0000
0.3276 0.3276 0.0000
0.6543 0.6543 0.0000
0.2090 0.2090 0.0000
0.4455 0.4455 0.0000
0.5552 0.5552 0.0000
0.7729 0.7729 0.0000
0.8819 0.8819 0.0000
```


Structure and computed powder diffractogram of Cu3Ag5 (a structure optimized by DFT (GGA-PBE); Cu Kα, 1.54184 Å).

Principal peaks in the range 10° ≤ 2θ ≤ 90°, in order of falling intensity:
2θ (°)  I/Imax
39.30  100
45.36  33
79.68  23
66.88  18
46.37  15
66.09  10

```
Cu3Ag5
1.0
-1.9994 1.9994 7.8321
1.9994 -1.9994 7.8321
1.9994 1.9994 -7.8321
Cu Ag
3 5
Direct
0.0000 0.0000 0.0000
0.2502 0.2502 0.0000
0.7498 0.7498 0.0000
0.1309 0.6309 0.5000
0.3691 0.8691 0.5000
0.5000 0.5000 0.0000
0.6309 0.1309 0.5000
0.8691 0.3691 0.5000
```


Structure and computed powder diffractogram of Cu3Ag7 (a structure optimized by DFT (GGA-PBE); Cu Kα, 1.54184 Å).

Principal peaks in the range 10° ≤ 2θ ≤ 90°, in order of falling intensity:
2θ (°)  I/Imax
38.56  100
44.65  64
38.72  50
39.14  45
45.82  29
65.62  19

```
Cu3Ag7
1.0
11.5558 -1.4451 0.0000
11.5558 1.4451 0.0000
-0.4455 0.0000 4.8845
Cu Ag
3 7
Direct
0.0000 0.0000 0.0000
0.5911 0.5911 0.1857
0.8991 0.8991 0.2898
0.0926 0.0926 0.6999
0.1911 0.1911 0.3858
0.3015 0.3015 0.0984
0.4035 0.4035 0.8052
0.4941 0.4941 0.4696
0.6957 0.6957 0.8950
0.7992 0.7992 0.5902
```


Structure and computed powder diffractogram of Cu4Ag5 (a structure optimized by DFT (GGA-PBE); Cu Kα, 1.54184 Å).

Principal peaks in the range 10° ≤ 2θ ≤ 90°, in order of falling intensity:
2θ (°)  I/Imax
39.68  100
44.78  35
79.09  23
68.38  17
48.81  13
65.18  11

```
Cu4Ag5
1.0
-1.4311 4.2938 5.5975
1.4311 -4.2938 5.5975
1.4311 4.2938 -5.5975
Cu Ag
4 5
Direct
0.0064 0.8305 0.1759
0.3455 0.1695 0.1759
0.6545 0.8305 0.8241
0.9936 0.1695 0.8241
0.0000 0.5000 0.5000
0.3181 0.8181 0.5000
0.3291 0.5000 0.8291
0.6709 0.5000 0.1709
0.6819 0.1819 0.5000
```


Structure and computed powder diffractogram of Cu3Ag7 (a structure optimized by DFT (GGA-PBE); Cu Kα, 1.54184 Å).

Principal peaks in the range 10° ≤ 2θ ≤ 90°, in order of falling intensity:
2θ (°)  I/Imax
38.39  100
45.10  52
64.57  21
39.99  19
78.72  14
77.69  11

```
Cu3Ag7
1.0
1.4433 0.8333 22.5451
-1.4433 0.8333 22.5451
0.0000 -1.6666 22.5451
Cu Ag
3 7
Direct
0.0000 0.0000 0.0000
0.0911 0.0911 0.0911
0.6942 0.6942 0.6942
0.1944 0.1944 0.1944
0.3014 0.3014 0.3014
0.3928 0.3928 0.3928
0.4920 0.4920 0.4920
0.5989 0.5989 0.5989
0.7894 0.7894 0.7894
0.8965 0.8965 0.8965
```


Structure and computed powder diffractogram of Cu3Ag2 (a structure optimized by DFT (GGA-PBE); Cu Kα, 1.54184 Å).

Principal peaks in the range 10° ≤ 2θ ≤ 90°, in order of falling intensity:
2θ (°)  I/Imax
40.36  100
46.40  66
40.58  51
40.81  51
48.60  30
69.30  18

```
Cu3Ag2
1.0
2.3304 -6.9606 0.0000
2.3304 6.9606 0.0000
-1.3887 0.0000 4.4228
Cu Ag
6 4
Direct
0.0000 0.0000 0.0000
0.0955 0.9045 0.5000
0.4100 0.5900 0.0000
0.5032 0.4968 0.5000
0.6971 0.3029 0.5000
0.9157 0.0843 0.5000
0.1986 0.8014 0.0000
0.3092 0.6908 0.5000
0.5967 0.4033 0.0000
0.8102 0.1898 0.0000
```


Structure and computed powder diffractogram of Cu3Ag7 (a structure optimized by DFT (GGA-PBE); Cu Kα, 1.54184 Å).

Principal peaks in the range 10° ≤ 2θ ≤ 90°, in order of falling intensity:
2θ (°)  I/Imax
38.91  100
44.50  35
66.46  18
78.21  17
46.67  13
64.76  11

```
Cu3Ag7
1.0
6.9563 0.0000 0.0000
0.0000 2.8772 0.0000
-1.9739 0.0000 8.0609
Cu Ag
3 7
Direct
0.0000 0.0000 0.0000
0.4125 0.0000 0.2020
0.5875 0.0000 0.7980
0.1137 0.5000 0.2821
0.1964 0.0000 0.6051
0.2979 0.5000 0.9162
0.5000 0.5000 0.5000
0.7021 0.5000 0.0838
0.8036 0.0000 0.3949
0.8863 0.5000 0.7179
```


Structure and computed powder diffractogram of Cu3Ag2 (a structure optimized by DFT (GGA-PBE); Cu Kα, 1.54184 Å).

Principal peaks in the range 10° ≤ 2θ ≤ 90°, in order of falling intensity:
2θ (°)  I/Imax
40.63  100
46.49  31
82.20  17
69.68  17
48.79  16
85.62  10

```
Cu3Ag2
1.0
2.7610 0.0000 0.0000
0.0000 3.7327 0.0000
0.0000 0.0000 13.8194
Cu Ag
6 4
Direct
0.2500 0.2500 0.0437
0.2500 0.2500 0.6619
0.2500 0.2500 0.8662
0.7500 0.7500 0.1338
0.7500 0.7500 0.3381
0.7500 0.7500 0.9563
0.2500 0.2500 0.2358
0.2500 0.2500 0.4405
0.7500 0.7500 0.5595
0.7500 0.7500 0.7642
```


Structure and computed powder diffractogram of Cu3Ag7 (a structure optimized by DFT (GGA-PBE); Cu Kα, 1.54184 Å).

Principal peaks in the range 10° ≤ 2θ ≤ 90°, in order of falling intensity:
2θ (°)  I/Imax
38.84  100
44.92  43
39.13  31
45.88  20
78.75  15
65.96  13

```
Cu3Ag7
1.0
4.8899 0.0000 0.0000
0.0000 2.8619 0.0000
-1.4142 0.0000 11.5100
Cu Ag
3 7
Direct
0.0000 0.0000 0.0000
0.3972 0.0000 0.1924
0.6028 0.0000 0.8076
0.0939 0.5000 0.8101
0.2027 0.0000 0.6040
0.3014 0.5000 0.3908
0.5000 0.5000 0.0000
0.6986 0.5000 0.6092
0.7973 0.0000 0.3960
0.9061 0.5000 0.1899
```


Structure and computed powder diffractogram of Cu3Ag2 (a structure optimized by DFT (GGA-PBE); Cu Kα, 1.54184 Å).

Principal peaks in the range 10° ≤ 2θ ≤ 90°, in order of falling intensity:
2θ (°)  I/Imax
40.71  100
45.86  46
40.40  34
49.99  17
69.98  12
70.36  11

```
Cu3Ag2
1.0
4.6191 0.0000 0.0000
0.0000 2.7881 0.0000
-0.6283 0.0000 11.0918
Cu Ag
6 4
Direct
0.0600 0.2500 0.4076
0.2569 0.2500 0.9983
0.3687 0.7500 0.8172
0.6313 0.2500 0.1828
0.7431 0.7500 0.0017
0.9400 0.7500 0.5924
0.1284 0.7500 0.1983
0.4349 0.2500 0.6099
0.5651 0.7500 0.3901
0.8716 0.2500 0.8017
```


Structure and computed powder diffractogram of Cu3Ag5 (a structure optimized by DFT (GGA-PBE); Cu Kα, 1.54184 Å).

Principal peaks in the range 10° ≤ 2θ ≤ 90°, in order of falling intensity:
2θ (°)  I/Imax
39.27  100
45.35  32
79.64  23
66.79  19
46.27  15
80.98  11

```
Cu3Ag5
1.0
0.0000 3.9245 5.6528
2.8301 0.0000 5.6528
2.8301 3.9245 0.0000
Cu Ag
3 5
Direct
0.0000 0.0000 0.0000
0.2460 0.2460 0.7540
0.7540 0.7540 0.2460
0.1279 0.1279 0.3721
0.3721 0.3721 0.1279
0.5000 0.5000 0.5000
0.6279 0.6279 0.8721
0.8721 0.8721 0.6279
```


Structure and computed powder diffractogram of Cu5Ag3 (a structure optimized by DFT (GGA-PBE); Cu Kα, 1.54184 Å).

Principal peaks in the range 10° ≤ 2θ ≤ 90°, in order of falling intensity:
2θ (°)  I/Imax
40.97  100
40.64  94
46.35  63
70.28  33
49.66  28
82.44  21

```
Cu5Ag3
1.0
2.7533 0.0000 0.0000
0.0000 3.6716 0.0000
0.0000 0.0000 11.1487
Cu Ag
5 3
Direct
0.0000 0.0000 0.0000
0.0000 0.0000 0.2215
0.0000 0.0000 0.7416
0.5000 0.5000 0.1115
0.5000 0.5000 0.6326
0.0000 0.0000 0.5021
0.5000 0.5000 0.3510
0.5000 0.5000 0.8716
```


Structure and computed powder diffractogram of Cu4Ag5 (a structure optimized by DFT (GGA-PBE); Cu Kα, 1.54184 Å).

Principal peaks in the range 10° ≤ 2θ ≤ 90°, in order of falling intensity:
2θ (°)  I/Imax
39.38  100
45.61  64
39.53  50
40.14  47
67.12  29
46.97  29

```
Cu4Ag5
1.0
7.2082 -1.4185 0.0000
7.2082 1.4185 0.0000
-4.6476 0.0000 6.7389
Cu Ag
4 5
Direct
0.1152 0.1152 0.1703
0.2273 0.2273 0.8449
0.7727 0.7727 0.1551
0.8848 0.8848 0.8297
0.0000 0.0000 0.5000
0.3304 0.3304 0.4913
0.4415 0.4415 0.1497
0.5585 0.5585 0.8503
0.6696 0.6696 0.5087
```


Structure and computed powder diffractogram of Cu11Ag3 (a structure optimized by DFT (GGA-PBE); Cu Kα, 1.54184 Å).

Principal peaks in the range 10° ≤ 2θ ≤ 90°, in order of falling intensity:
2θ (°)  I/Imax
41.40  100
33.04  68
44.13  61
38.72  59
43.25  47
46.06  45

```
Cu11Ag3
1.0
5.9516 -3.2109 0.0000
5.9516 3.2109 0.0000
-2.6379 0.0000 5.3425
Cu Ag
11 3
Direct
0.0000 0.0000 0.0000
0.0516 0.6609 0.1320
0.0858 0.7089 0.5695
0.2244 0.2244 0.0357
0.4036 0.9637 0.3230
0.4093 0.7783 0.8884
0.5174 0.5174 0.2436
0.6609 0.0516 0.1320
0.7089 0.0858 0.5695
0.7783 0.4093 0.8884
0.9637 0.4036 0.3230
0.0769 0.0769 0.5326
0.3493 0.3493 0.7734
0.7274 0.7274 0.6866
```